# 1
The following is a simulated PXRD pattern of Tb3GaO6. It was derived from a PBE-relaxed structure, using a wavelength of 1.5418 Å.
Intensities are scaled so that the largest is 100.

Atomic structure:
```
Tb3GaO6
1.0
4.4794 -5.6153 0.0000
4.4794 5.6153 0.0000
0.0000 0.0000 5.4736
Tb Ga O
6 2 12
Direct
0.1020 0.8980 0.5000
0.2012 0.4120 0.5470
0.4120 0.2012 0.0470
0.5880 0.7988 0.5470
0.7988 0.5880 0.0470
0.8980 0.1020 0.0000
0.3066 0.6934 0.0778
0.6934 0.3066 0.5778
0.0787 0.6061 0.2556
0.1443 0.1759 0.2748
0.1759 0.1443 0.7748
0.2844 0.7156 0.7417
0.3939 0.9213 0.2556
0.4608 0.5392 0.2170
0.5392 0.4608 0.7170
0.6061 0.0787 0.7556
0.7156 0.2844 0.2417
0.8241 0.8557 0.2748
0.8557 0.8241 0.7748
0.9213 0.3939 0.7556
```

Largest 10 diffraction maxima, by intensity, 2θ from 15° to 90°:
- 2θ 30.30, intensity 100
- 2θ 30.60, intensity 40
- 2θ 50.87, intensity 23
- 2θ 45.69, intensity 23
- 2θ 32.72, intensity 21
- 2θ 46.33, intensity 18
- 2θ 30.99, intensity 18
- 2θ 59.65, intensity 17
- 2θ 20.59, intensity 14
- 2θ 56.91, intensity 14

# 2
The following is a simulated PXRD pattern of Ga2Te3O9. It was derived from a PBE-relaxed structure, using a wavelength of 1.5418 Å.
Intensities are scaled so that the largest is 100.

Atomic structure:
```
Ga2Te3O9
1.0
9.2416 0.0000 0.0000
-4.6208 8.0035 0.0000
0.0000 0.0000 7.5853
Ga Te O
4 6 18
Direct
0.3333 0.6667 0.0614
0.3333 0.6667 0.4386
0.6667 0.3333 0.5614
0.6667 0.3333 0.9386
0.0411 0.5503 0.7500
0.4497 0.4908 0.7500
0.4908 0.0411 0.2500
0.5092 0.9589 0.7500
0.5503 0.5092 0.2500
0.9589 0.4497 0.2500
0.1447 0.4897 0.5677
0.1447 0.4897 0.9323
0.1666 0.6610 0.2500
0.3390 0.5056 0.2500
0.3450 0.8553 0.5677
0.3450 0.8553 0.9323
0.4897 0.3450 0.0677
0.4897 0.3450 0.4323
0.4944 0.8334 0.2500
0.5056 0.1666 0.7500
0.5103 0.6550 0.5677
0.5103 0.6550 0.9323
0.6550 0.1447 0.0677
0.6550 0.1447 0.4323
0.6610 0.4944 0.7500
0.8334 0.3390 0.7500
0.8553 0.5103 0.0677
0.8553 0.5103 0.4323
```

Largest 10 diffraction maxima, by intensity, 2θ from 15° to 90°:
- 2θ 32.53, intensity 100
- 2θ 22.21, intensity 69
- 2θ 31.85, intensity 46
- 2θ 30.49, intensity 37
- 2θ 62.52, intensity 25
- 2θ 38.98, intensity 24
- 2θ 29.53, intensity 22
- 2θ 42.43, intensity 19
- 2θ 53.47, intensity 18
- 2θ 55.05, intensity 18

# 3
The following is a simulated PXRD pattern of GaTeO3. It was derived from a PBE-relaxed structure, using a wavelength of 1.5418 Å.
Intensities are scaled so that the largest is 100.

Atomic structure:
```
GaTeO3
1.0
3.8871 0.0000 0.0000
0.0000 3.8871 0.0000
0.0000 0.0000 3.8871
Ga Te O
1 1 3
Direct
0.0000 0.0000 0.0000
0.5000 0.5000 0.5000
0.0000 0.0000 0.5000
0.0000 0.5000 0.0000
0.5000 0.0000 0.0000
```

Largest 10 diffraction maxima, by intensity, 2θ from 15° to 90°:
- 2θ 32.58, intensity 100
- 2θ 58.13, intensity 39
- 2θ 46.74, intensity 33
- 2θ 68.24, intensity 19
- 2θ 77.68, intensity 17
- 2θ 40.18, intensity 11
- 2θ 86.79, intensity 7
- 2θ 22.88, intensity 4
- 2θ 82.26, intensity 3
- 2θ 52.65, intensity 2

# 4
The following is a simulated PXRD pattern of ZnGa2Te4O12. It was derived from a PBE-relaxed structure, using a wavelength of 1.5418 Å.
Intensities are scaled so that the largest is 100.

Atomic structure:
```
ZnGa2Te4O12
1.0
-5.3618 5.3618 5.4386
5.3618 -5.3618 5.4386
5.3618 5.3618 -5.4386
Zn Ga Te O
2 4 8 24
Direct
0.0000 0.0000 0.0000
0.7500 0.2500 0.5000
0.2525 0.6250 0.1275
0.3750 0.5025 0.6275
0.4975 0.1250 0.8725
0.8750 0.7475 0.3725
0.1157 0.1491 0.7439
0.1218 0.6553 0.7561
0.3447 0.1008 0.4666
0.4053 0.3718 0.2561
0.6282 0.8843 0.0334
0.6343 0.8782 0.5334
0.8509 0.5947 0.9666
0.8991 0.3657 0.2439
0.0036 0.7829 0.9635
0.0402 0.5819 0.1214
0.0812 0.9598 0.5417
0.1685 0.5072 0.5947
0.2171 0.1805 0.2207
0.2572 0.4185 0.0947
0.2895 0.6681 0.9583
0.3238 0.1625 0.9053
0.3319 0.2902 0.6214
0.4181 0.5395 0.4583
0.4262 0.8315 0.3386
0.4605 0.9188 0.8786
0.4928 0.0875 0.6614
0.5329 0.2536 0.4635
0.5815 0.6762 0.8386
0.6688 0.7105 0.3786
0.7098 0.3312 0.0417
0.7464 0.2099 0.2793
0.7901 0.0695 0.5365
0.8195 0.0401 0.0365
0.8375 0.7428 0.1614
0.9125 0.5738 0.4053
0.9305 0.4671 0.7207
0.9599 0.9964 0.7793
```

Largest 10 diffraction maxima, by intensity, 2θ from 15° to 90°:
- 2θ 31.12, intensity 100
- 2θ 20.24, intensity 76
- 2θ 30.92, intensity 54
- 2θ 20.09, intensity 38
- 2θ 26.26, intensity 37
- 2θ 46.33, intensity 33
- 2θ 33.42, intensity 25
- 2θ 45.80, intensity 20
- 2θ 52.57, intensity 17
- 2θ 41.14, intensity 15

# 5
The following is a simulated PXRD pattern of TiGa2O5. It was derived from a PBE-relaxed structure, using a wavelength of 1.5418 Å.
Intensities are scaled so that the largest is 100.

Atomic structure:
```
TiGa2O5
1.0
1.8305 -4.9675 0.0000
1.8305 4.9675 0.0000
0.0000 0.0000 10.0888
Ti Ga O
2 4 10
Direct
0.1792 0.8208 0.7500
0.8208 0.1792 0.2500
0.1368 0.8632 0.0591
0.1368 0.8632 0.4409
0.8632 0.1368 0.5591
0.8632 0.1368 0.9409
0.0470 0.9530 0.6193
0.0470 0.9530 0.8807
0.2487 0.7513 0.2500
0.3076 0.6924 0.5754
0.3076 0.6924 0.9246
0.6924 0.3076 0.0754
0.6924 0.3076 0.4246
0.7513 0.2487 0.7500
0.9530 0.0470 0.1193
0.9530 0.0470 0.3807
```

Largest 10 diffraction maxima, by intensity, 2θ from 15° to 90°:
- 2θ 25.94, intensity 100
- 2θ 32.14, intensity 92
- 2θ 37.42, intensity 31
- 2θ 36.59, intensity 31
- 2θ 49.81, intensity 30
- 2θ 59.66, intensity 30
- 2θ 17.86, intensity 30
- 2θ 17.58, intensity 27
- 2θ 60.53, intensity 27
- 2θ 45.39, intensity 21

# 6
The following is a simulated PXRD pattern of TiGa2O5. It was derived from a PBE-relaxed structure, using a wavelength of 1.5418 Å.
Intensities are scaled so that the largest is 100.

Atomic structure:
```
TiGa2O5
1.0
5.2795 0.0000 0.0000
0.0000 10.0358 0.0000
-2.5954 0.0000 6.9475
Ti Ga O
4 8 20
Direct
0.1443 0.0000 0.4075
0.2347 0.3106 0.9333
0.7653 0.8106 0.0667
0.8557 0.5000 0.5925
0.1253 0.0007 0.9034
0.2171 0.3132 0.4288
0.2258 0.6862 0.4320
0.2287 0.6847 0.9316
0.7713 0.1847 0.0684
0.7742 0.1862 0.5680
0.7829 0.8132 0.5712
0.8747 0.5007 0.0966
0.0140 0.4993 0.8724
0.0157 0.4997 0.3882
0.1149 0.6835 0.6555
0.1156 0.3322 0.1512
0.1168 0.3209 0.6578
0.1187 0.6719 0.1530
0.3959 0.1374 0.9773
0.4030 0.1333 0.4711
0.4075 0.8685 0.4720
0.4135 0.8678 0.9774
0.5865 0.3678 0.0226
0.5925 0.3685 0.5280
0.5970 0.6333 0.5289
0.6041 0.6374 0.0227
0.8813 0.1719 0.8470
0.8832 0.8209 0.3422
0.8844 0.8322 0.8488
0.8851 0.1835 0.3445
0.9843 0.9997 0.6118
0.9860 0.9993 0.1276
```

Largest 10 diffraction maxima, by intensity, 2θ from 15° to 90°:
- 2θ 25.66, intensity 100
- 2θ 32.31, intensity 92
- 2θ 17.94, intensity 39
- 2θ 37.33, intensity 37
- 2θ 36.46, intensity 33
- 2θ 49.14, intensity 33
- 2θ 59.76, intensity 29
- 2θ 60.04, intensity 28
- 2θ 45.63, intensity 28
- 2θ 55.76, intensity 18